The following is a calculated XRD peak list of Li2ZrS3. It was derived from a structure optimized by DFT (PBE), using CuKα.

Structure:
```
data_Li2ZrS3
_space_group_name_H-M_alt 'P m m n'
_space_group_IT_number 59
_cell_length_a 3.6974
_cell_length_b 11.2901
_cell_length_c 5.1655
_cell_angle_alpha 90.00
_cell_angle_beta 90.00
_cell_angle_gamma 90.00
loop_
_space_group_symop_operation_xyz
'x,y,z'
'-x,-y,-z'
'-x+1/2,-y+1/2,z'
'x+1/2,y+1/2,-z'
'x+1/2,-y,-z'
'-x+1/2,y,z'
'-x,y+1/2,-z'
'x,-y+1/2,z'
loop_
_atom_site_label
_atom_site_fract_x
_atom_site_fract_y
_atom_site_fract_z
Li1 0.2500 0.0893 0.2492
Zr1 0.2500 0.7500 0.2503
S1 0.2500 0.0910 0.7493
S2 0.2500 0.7500 0.7507
```

Largest 10 diffraction maxima, by angle, 2θ from 10° to 90°:
(0 2 0), 2θ 15.70, I = 75; (0 1 1), 2θ 18.89, I = 90; (1 1 0), 2θ 25.35, I = 38; (1 2 1), 2θ 33.78, I = 34; (1 3 0), 2θ 33.99, I = 100; (0 0 2), 2θ 34.73, I = 47; (1 1 2), 2θ 43.49, I = 18; (1 4 1), 2θ 44.00, I = 22; (2 0 0), 2θ 49.37, I = 81; (2 0 2), 2θ 61.69, I = 22

=====

The following is a calculated XRD peak list of LiSb5. It was derived from a structure optimized by DFT (PBE), using CuKα.

Structure:
```
data_LiSb5
_space_group_name_H-M_alt 'C 1 m 1'
_space_group_IT_number 8
_cell_length_a 12.3812
_cell_length_b 3.1864
_cell_length_c 8.8750
_cell_angle_alpha 90.00
_cell_angle_beta 107.65
_cell_angle_gamma 90.00
loop_
_space_group_symop_operation_xyz
'x,y,z'
'x,-y,z'
'x+1/2,y+1/2,z'
'x+1/2,-y+1/2,z'
loop_
_atom_site_label
_atom_site_fract_x
_atom_site_fract_y
_atom_site_fract_z
Li1 0.0000 0.0000 0.0000
Sb1 0.0740 0.5000 0.3091
Sb2 0.1518 0.0000 0.6684
Sb3 0.2140 0.5000 0.9942
Sb4 0.3477 0.0000 0.3422
Sb5 0.3913 0.0000 0.6935
```

Largest 10 diffraction maxima, by angle, 2θ from 10° to 90°:
(4 0 -1), 2θ 28.88, I = 60; (1 1 0), 2θ 29.03, I = 23; (0 0 3), 2θ 31.74, I = 100; (1 1 -2), 2θ 34.68, I = 42; (3 1 -2), 2θ 38.47, I = 18; (3 1 1), 2θ 39.85, I = 19; (4 0 2), 2θ 42.35, I = 20; (5 1 0), 2θ 47.98, I = 17; (5 1 -3), 2θ 51.09, I = 17; (0 2 0), 2θ 57.91, I = 17